Calculated X-ray diffraction stick pattern
Compound: K3PmF8
Radiation: Cu Kα
Structure: a structure optimized by DFT (GGA-PBE)

Principal peaks in the range 10° ≤ 2θ ≤ 90°, low angle first:
2theta  I (rel.)
14.27  22
16.26  60
20.71  13
25.24  100
41.63  56
42.13  27
48.87  15
49.75  35
66.46  12
76.66  13

```
K3PmF8
1.0
-3.033 3.033 6.207
3.033 -3.033 6.207
3.033 3.033 -6.207
K Pm F
3 1 8
direct
0.000 0.000 0.000 K
0.250 0.750 0.500 K
0.750 0.250 0.500 K
0.500 0.500 0.000 Pm
0.166 0.166 0.556 F
0.166 0.610 0.000 F
0.390 0.390 0.556 F
0.390 0.834 0.000 F
0.610 0.166 0.000 F
0.610 0.610 0.444 F
0.834 0.390 0.000 F
0.834 0.834 0.444 F
```